Diffraction record for Np2NiTe3. The powder X-ray diffraction pattern is computed, not measured: it uses a crystal structure in Alexandria, relaxed with GGA-PBE and Cu Kα (λ = 1.5418 Å).

Crystal structure
Unit cell a=8.6496 b=4.2933 c=16.9776 alpha=90.00 beta=90.00 gamma=90.00
Atoms (fractional coordinates):
Np  0.1215  0.2500  0.2053
Np  0.2171  0.7500  0.4659
Np  0.2829  0.2500  0.9659
Np  0.3785  0.7500  0.7053
Np  0.6215  0.2500  0.2947
Np  0.7171  0.7500  0.0341
Np  0.7829  0.2500  0.5341
Np  0.8785  0.7500  0.7947
Ni  0.1382  0.2500  0.6334
Ni  0.3618  0.7500  0.1334
Ni  0.6382  0.2500  0.8666
Ni  0.8618  0.7500  0.3666
Te  0.0081  0.2500  0.3888
Te  0.1089  0.7500  0.0621
Te  0.1603  0.2500  0.7842
Te  0.3397  0.7500  0.2842
Te  0.3911  0.2500  0.5621
Te  0.4919  0.7500  0.8888
Te  0.5081  0.2500  0.1112
Te  0.6089  0.7500  0.4379
Te  0.6603  0.2500  0.7158
Te  0.8397  0.7500  0.2158
Te  0.8911  0.2500  0.9379
Te  0.9919  0.7500  0.6112

Peak list (12 most intense, 2θ from 5° to 70°, sorted by position)
2θ (°)	d (Å)	I_rel
23.72	3.751	27
26.05	3.420	20
28.23	3.161	26
29.49	3.029	19
31.19	2.868	100
31.39	2.850	20
33.62	2.666	29
35.26	2.545	57
37.97	2.370	22
40.94	2.204	19
42.09	2.147	42
61.84	1.500	20

***

Diffraction record for RbCaFe4As4. The powder X-ray diffraction pattern is computed, not measured: it uses a crystal structure in Alexandria, relaxed with GGA-PBE and Cu Kα (λ = 1.5418 Å).

Crystal structure
Unit cell a=3.9603 b=3.9603 c=12.0842 alpha=90.00 beta=90.00 gamma=90.00
Atoms (fractional coordinates):
Rb  0.0000  0.0000  0.0000
Ca  0.5000  0.5000  0.5000
Fe  0.0000  0.5000  0.2855
Fe  0.0000  0.5000  0.7145
Fe  0.5000  0.0000  0.2855
Fe  0.5000  0.0000  0.7145
As  0.0000  0.0000  0.3809
As  0.0000  0.0000  0.6191
As  0.5000  0.5000  0.1845
As  0.5000  0.5000  0.8155

Peak list (12 most intense, 2θ from 5° to 70°, sorted by position)
2θ (°)	d (Å)	I_rel
7.32	12.084	22
14.66	6.042	39
26.92	3.312	28
31.68	2.824	100
31.96	2.800	14
35.33	2.541	33
45.83	1.980	57
49.84	1.830	53
56.26	1.635	10
56.78	1.621	36
66.21	1.411	12
66.82	1.400	18

***

Diffraction record for Co3Hg2. The powder X-ray diffraction pattern is computed, not measured: it uses a crystal structure in Alexandria, relaxed with GGA-PBE and Cu Kα (λ = 1.5418 Å).

Crystal structure
Unit cell a=11.8492 b=11.8492 c=11.8492 alpha=13.73 beta=13.73 gamma=13.73
Atoms (fractional coordinates):
Co  0.0000  0.0000  0.0000
Co  0.1910  0.1910  0.1910
Co  0.8090  0.8090  0.8090
Hg  0.2679  0.2679  0.2679
Hg  0.7321  0.7321  0.7321

Peak list (12 most intense, 2θ from 5° to 70°, sorted by position)
2θ (°)	d (Å)	I_rel
7.53	11.736	44
15.10	5.868	45
22.73	3.912	58
36.99	2.430	100
38.07	2.364	98
38.35	2.347	50
40.92	2.205	34
42.16	2.143	14
46.64	1.947	86
50.17	1.818	50
58.30	1.583	15
65.93	1.417	35

***

Diffraction record for Tl3Ge2F6. The powder X-ray diffraction pattern is computed, not measured: it uses a crystal structure in Alexandria, relaxed with GGA-PBE and Cu Kα (λ = 1.5418 Å).

Crystal structure
Unit cell a=6.2636 b=6.2636 c=7.3013 alpha=90.00 beta=90.00 gamma=120.00
Atoms (fractional coordinates):
Tl  0.0000  0.0000  0.0000
Tl  0.3333  0.6667  0.6411
Tl  0.6667  0.3333  0.3589
Ge  0.3333  0.6667  0.1298
Ge  0.6667  0.3333  0.8702
F  0.1456  0.3911  0.2855
F  0.2455  0.8544  0.2855
F  0.3911  0.2455  0.7145
F  0.6089  0.7545  0.2855
F  0.7545  0.1456  0.7145
F  0.8544  0.6089  0.7145

Peak list (12 most intense, 2θ from 5° to 70°, sorted by position)
2θ (°)	d (Å)	I_rel
20.40	4.354	79
28.50	3.132	100
29.49	3.029	94
35.30	2.542	32
41.48	2.177	48
45.98	1.974	22
47.30	1.922	18
50.47	1.808	22
51.09	1.788	42
58.98	1.566	18
67.31	1.391	19
68.87	1.363	17

***

Diffraction record for NaYCl4. The powder X-ray diffraction pattern is computed, not measured: it uses a crystal structure in Alexandria, relaxed with GGA-PBE and Cu Kα (λ = 1.5418 Å).

Crystal structure
Unit cell a=6.5511 b=4.0645 c=7.2613 alpha=90.00 beta=93.99 gamma=90.00
Atoms (fractional coordinates):
Na  0.0000  0.0000  0.0000
Y  0.0000  0.5000  0.5000
Cl  0.2019  0.5000  0.2029
Cl  0.2274  0.0000  0.6507
Cl  0.7726  0.0000  0.3493
Cl  0.7981  0.5000  0.7971

Peak list (12 most intense, 2θ from 5° to 70°, sorted by position)
2θ (°)	d (Å)	I_rel
12.22	7.244	44
13.55	6.535	100
18.91	4.693	11
25.81	3.451	12
27.31	3.266	34
29.06	3.072	74
35.71	2.515	21
38.09	2.363	34
43.60	2.076	25
44.59	2.032	17
45.04	2.013	13
48.29	1.885	20

***

Diffraction record for Na3Sr. The powder X-ray diffraction pattern is computed, not measured: it uses a crystal structure in Alexandria, relaxed with GGA-PBE and Cu Kα (λ = 1.5418 Å).

Crystal structure
Unit cell a=6.7951 b=5.7913 c=8.5647 alpha=90.00 beta=90.00 gamma=90.00
Atoms (fractional coordinates):
Na  0.0000  0.0000  0.0000
Na  0.2500  0.0000  0.3780
Na  0.2500  0.5000  0.1331
Na  0.5000  0.0000  0.0000
Na  0.7500  0.0000  0.6220
Na  0.7500  0.5000  0.8669
Sr  0.2500  0.5000  0.6681
Sr  0.7500  0.5000  0.3319

Peak list (12 most intense, 2θ from 5° to 70°, sorted by position)
2θ (°)	d (Å)	I_rel
15.30	5.791	30
16.65	5.323	21
22.69	3.919	68
24.57	3.623	28
25.88	3.443	23
26.23	3.398	27
29.07	3.071	100
30.50	2.930	36
30.88	2.896	36
44.26	2.047	23
48.08	1.892	24
53.81	1.704	17

***

Diffraction record for Tb6Cd2Ga. The powder X-ray diffraction pattern is computed, not measured: it uses a crystal structure in Alexandria, relaxed with GGA-PBE and Cu Kα (λ = 1.5418 Å).

Crystal structure
Unit cell a=8.7289 b=8.7289 c=8.7289 alpha=112.18 beta=109.48 gamma=106.79
Atoms (fractional coordinates):
Tb  0.0696  0.2437  0.8259
Tb  0.2382  0.5672  0.3290
Tb  0.2382  0.9092  0.6710
Tb  0.3075  0.2406  0.5481
Tb  0.3075  0.7594  0.0669
Tb  0.4178  0.2437  0.1741
Tb  0.5822  0.7563  0.8259
Tb  0.6925  0.2406  0.9331
Tb  0.6925  0.7594  0.4519
Tb  0.7618  0.0908  0.3290
Tb  0.7618  0.4328  0.6710
Tb  0.9304  0.7563  0.1741
Cd  0.0000  0.1415  0.1415
Cd  0.0000  0.8585  0.8585
Cd  0.1403  0.5000  0.6403
Cd  0.8597  0.5000  0.3597
Ga  0.5000  0.0000  0.5000
Ga  0.5000  0.5000  0.0000

Peak list (12 most intense, 2θ from 5° to 70°, sorted by position)
2θ (°)	d (Å)	I_rel
25.04	3.556	19
28.86	3.094	23
30.78	2.905	100
33.04	2.711	93
33.53	2.672	53
33.73	2.657	78
34.46	2.602	74
41.18	2.192	21
41.77	2.162	18
54.75	1.677	18
55.23	1.663	18
57.49	1.603	19

***

Diffraction record for Ba2LaPt9. The powder X-ray diffraction pattern is computed, not measured: it uses a crystal structure in Alexandria, relaxed with GGA-PBE and Cu Kα (λ = 1.5418 Å).

Crystal structure
Unit cell a=5.5547 b=5.5547 c=18.4296 alpha=90.00 beta=90.00 gamma=120.00
Atoms (fractional coordinates):
Ba  0.3333  0.6667  0.0382
Ba  0.3333  0.6667  0.4618
Ba  0.6667  0.3333  0.5382
Ba  0.6667  0.3333  0.9618
La  0.3333  0.6667  0.2500
La  0.6667  0.3333  0.7500
Pt  0.0000  0.0000  0.0000
Pt  0.0000  0.0000  0.2500
Pt  0.0000  0.0000  0.5000
Pt  0.0000  0.0000  0.7500
Pt  0.1673  0.3346  0.6299
Pt  0.1673  0.3346  0.8701
Pt  0.1673  0.8327  0.6299
Pt  0.1673  0.8327  0.8701
Pt  0.3333  0.6667  0.7500
Pt  0.3346  0.1673  0.1299
Pt  0.3346  0.1673  0.3701
Pt  0.6654  0.8327  0.6299
Pt  0.6654  0.8327  0.8701
Pt  0.6667  0.3333  0.2500
Pt  0.8327  0.1673  0.1299
Pt  0.8327  0.1673  0.3701
Pt  0.8327  0.6654  0.1299
Pt  0.8327  0.6654  0.3701

Peak list (12 most intense, 2θ from 5° to 70°, sorted by position)
2θ (°)	d (Å)	I_rel
19.07	4.655	20
30.55	2.926	22
32.23	2.777	17
37.72	2.385	35
37.82	2.379	100
39.10	2.304	30
40.27	2.240	38
42.39	2.132	24
45.00	2.014	17
59.26	1.559	18
61.20	1.514	25
67.44	1.389	27